No. 1
# CsTi2O3F3
Calculated XRD peak list, copper Kα. Input: a DFT-relaxed cell (GGA-PBE, the Materials Project).
Kinematic intensities with the Lorentz-polarization factor, no thermal factor.

Most intense lines, 2θ = 10–80°, most intense first:
(1 1 3), 27.76 deg, rel. 100; (1 3 1), 28.64 deg, rel. 90; (3 1 1), 29.00 deg, rel. 85; (0 2 2), 23.90 deg, rel. 51; (3 3 3), 45.32 deg, rel. 49; (2 0 2), 24.11 deg, rel. 45

Structural model:
```
data_CsTi2O3F3
_chemical_formula_sum 'Cs8 Ti16 O24 F24'
_symmetry_space_group_name_H-M 'F 2 2 2'
_symmetry_Int_Tables_number 22
_symmetry_space_group_name_Hall 'F 2 2'
_cell_length_a 10.146
_cell_length_b 10.314
_cell_length_c 10.759
_cell_angle_alpha 90.00
_cell_angle_beta 90.00
_cell_angle_gamma 90.00
loop_
_atom_site_label
_atom_site_type_symbol
_atom_site_fract_x
_atom_site_fract_y
_atom_site_fract_z
Cs1 Cs 0.000 0.000 0.000
Cs2 Cs 0.250 0.250 0.250
Ti1 Ti 0.116 0.129 0.618
O1 O 0.000 0.000 0.323
O2 O 0.000 0.189 0.500
O3 O 0.250 0.250 0.580
F1 F 0.050 0.250 0.750
F2 F 0.198 0.000 0.500
F3 F 0.250 0.056 0.750
```

No. 2
# Cs2TiOF5
Calculated XRD peak list, copper Kα. Input: a DFT-relaxed cell (GGA-PBE, the Materials Project).
Kinematic intensities with the Lorentz-polarization factor, no thermal factor.

Most intense lines, 2θ = 10–80°, most intense first:
(2 2 0), 25.39 deg, rel. 100; (2 0 2), 27.93 deg, rel. 79; (2 2 2), 33.79 deg, rel. 77; (3 1 1), 29.63 deg, rel. 67; (0 2 2), 28.91 deg, rel. 59; (0 2 1), 21.64 deg, rel. 55

Structural model:
```
data_Cs2TiOF5
_chemical_formula_sum 'Cs8 Ti4 O4 F20'
_symmetry_space_group_name_H-M 'C m c m'
_symmetry_Int_Tables_number 63
_symmetry_space_group_name_Hall '-C 2c 2'
_cell_length_a 10.361
_cell_length_b 9.525
_cell_length_c 8.116
_cell_angle_alpha 90.00
_cell_angle_beta 90.00
_cell_angle_gamma 90.00
loop_
_atom_site_label
_atom_site_type_symbol
_atom_site_fract_x
_atom_site_fract_y
_atom_site_fract_z
Cs1 Cs 0.208 0.198 0.250
Ti1 Ti 0.000 0.500 0.000
O1 O 0.000 0.023 0.750
F1 F 0.000 0.305 0.002
F2 F 0.000 0.499 0.250
F3 F 0.181 0.500 0.000
```